1.
This entry pairs a crystal structure of SmY4Er8 with its computed X-ray diffraction stick pattern. Radiation: Cu Kα X-rays. Structure: a DFT-relaxed cell (PBE, Alexandria).
Peak positions follow from Bragg's law for the DFT cell and can differ from measured ones.

Structure:
```
SmY4Er8
1.0
3.646 2.105 8.929
-3.646 2.105 8.929
0.000 -4.210 8.929
Sm Y Er
1 4 8
direct
0.000 0.000 0.000 Sm
0.000 0.000 0.500 Y
0.000 0.500 0.000 Y
0.500 0.000 0.000 Y
0.500 0.500 0.500 Y
0.250 0.250 0.691 Er
0.250 0.691 0.250 Er
0.282 0.282 0.282 Er
0.309 0.750 0.750 Er
0.691 0.250 0.250 Er
0.718 0.718 0.718 Er
0.750 0.309 0.750 Er
0.750 0.750 0.309 Er
```

Largest 6 diffraction maxima, low angle first, 5 to 70 degrees two-theta:
| 2θ (°) | d [Å] | I/Imax |
| --- | --- | --- |
| 29.05 | 3.074 | 24 |
| 30.02 | 2.976 | 31 |
| 31.32 | 2.856 | 100 |
| 32.92 | 2.720 | 38 |
| 39.21 | 2.297 | 23 |
| 50.03 | 1.823 | 30 |

---

2.
This entry pairs a crystal structure of SmYEr5 with its computed X-ray diffraction stick pattern. Radiation: Cu Kα X-rays. Structure: a DFT-relaxed cell (PBE, Alexandria).
Peak positions follow from Bragg's law for the DFT cell and can differ from measured ones.

Structure:
```
SmYEr5
1.0
5.799 -3.366 0.000
5.799 3.366 0.000
-4.022 0.000 11.383
Sm Y Er
2 2 10
direct
0.026 0.974 0.750 Sm
0.974 0.026 0.250 Sm
0.000 0.500 0.000 Y
0.500 0.000 0.500 Y
0.140 0.420 0.750 Er
0.193 0.650 0.501 Er
0.350 0.807 0.999 Er
0.413 0.587 0.250 Er
0.420 0.140 0.250 Er
0.580 0.860 0.750 Er
0.587 0.413 0.750 Er
0.650 0.193 0.001 Er
0.807 0.350 0.499 Er
0.860 0.580 0.250 Er
```

Largest 6 diffraction maxima, low angle first, 5 to 70 degrees two-theta:
| 2θ (°) | d [Å] | I/Imax |
| --- | --- | --- |
| 30.82 | 2.901 | 100 |
| 31.16 | 2.871 | 66 |
| 31.44 | 2.846 | 62 |
| 33.55 | 2.671 | 30 |
| 35.81 | 2.507 | 25 |
| 57.08 | 1.613 | 18 |

---

3.
This entry pairs a crystal structure of SmY6Er2 with its computed X-ray diffraction stick pattern. Radiation: Cu Kα X-rays. Structure: a DFT-relaxed cell (PBE, Alexandria).
Peak positions follow from Bragg's law for the DFT cell and can differ from measured ones.

Structure:
```
SmY6Er2
1.0
6.420 -7.105 0.000
6.420 7.105 0.000
-1.488 0.000 6.385
Sm Y Er
2 12 4
direct
0.121 0.879 0.750 Sm
0.879 0.121 0.250 Sm
0.052 0.222 0.816 Y
0.062 0.460 0.273 Y
0.222 0.052 0.316 Y
0.279 0.649 0.997 Y
0.351 0.721 0.503 Y
0.460 0.062 0.773 Y
0.540 0.938 0.227 Y
0.649 0.279 0.497 Y
0.721 0.351 0.003 Y
0.778 0.948 0.684 Y
0.938 0.540 0.727 Y
0.948 0.778 0.184 Y
0.339 0.385 0.632 Er
0.385 0.339 0.132 Er
0.615 0.661 0.868 Er
0.661 0.615 0.368 Er
```

Largest 6 diffraction maxima, low angle first, 5 to 70 degrees two-theta:
| 2θ (°) | d [Å] | I/Imax |
| --- | --- | --- |
| 28.78 | 3.103 | 66 |
| 31.08 | 2.877 | 100 |
| 31.26 | 2.862 | 66 |
| 31.49 | 2.841 | 67 |
| 32.30 | 2.771 | 52 |
| 33.25 | 2.695 | 48 |

---

4.
This entry pairs a crystal structure of Sm4Y5Er3 with its computed X-ray diffraction stick pattern. Radiation: Cu Kα X-rays. Structure: a DFT-relaxed cell (PBE, Alexandria).
Peak positions follow from Bragg's law for the DFT cell and can differ from measured ones.

Structure:
```
Sm4Y5Er3
1.0
6.190 0.000 0.000
0.009 7.148 0.000
0.002 0.009 8.745
Sm Y Er
4 5 3
direct
0.166 0.251 0.168 Sm
0.333 0.000 0.834 Sm
0.667 0.000 0.166 Sm
0.834 0.749 0.832 Sm
0.000 0.000 0.500 Y
0.332 0.500 0.833 Y
0.499 0.748 0.500 Y
0.501 0.252 0.500 Y
0.668 0.500 0.167 Y
0.000 0.500 0.500 Er
0.167 0.749 0.169 Er
0.833 0.251 0.831 Er
```

Largest 6 diffraction maxima, low angle first, 5 to 70 degrees two-theta:
| 2θ (°) | d [Å] | I/Imax |
| --- | --- | --- |
| 30.65 | 2.917 | 100 |
| 35.54 | 2.526 | 50 |
| 51.13 | 1.786 | 36 |
| 60.79 | 1.524 | 32 |
| 60.85 | 1.522 | 10 |
| 63.80 | 1.459 | 9 |